(1)
# BaCaZr2O6
Computed PXRD pattern, Cu Kα (λ = 1.5418 Å). Input: a structure optimized by DFT (GGA-PBE).
Neutral-atom scattering factors, no anomalous dispersion.

The 6 most intense peaks (2θ from 10° to 90°), sorted by position:
2theta	I (rel.)
30.01	21
30.40	100
43.26	26
53.53	17
54.03	28
63.26	17

```
BaCaZr2O6
1.0
-2.978 4.134 2.938
2.978 -4.134 2.938
2.978 4.134 -2.938
Ba Ca Zr O
1 1 2 6
Cartesian
0.000 0.000 0.000
0.000 4.134 0.181
2.978 2.056 0.018
0.000 2.078 2.957
2.978 0.000 0.654
0.000 0.000 2.614
1.594 -1.689 4.302
1.383 2.445 1.364
1.594 1.689 4.302
1.383 5.823 1.364
```



(2)
# LiBiO2
Computed PXRD pattern, Cu Kα (λ = 1.5418 Å). Input: a structure optimized by DFT (GGA-PBE).
Neutral-atom scattering factors, no anomalous dispersion.

The 6 most intense peaks (2θ from 10° to 90°), sorted by position:
2theta	I (rel.)
19.14	27
26.50	100
28.87	28
34.25	19
36.08	18
46.67	20

```
LiBiO2
1.0
9.593 -2.618 0.000
9.593 2.618 0.000
-1.268 0.000 4.815
Li Bi O
4 4 8
Cartesian
3.522 0.003 4.814
4.156 -0.003 2.407
13.761 0.003 2.408
14.395 -0.003 0.000
7.339 1.361 1.943
11.212 1.361 0.464
6.705 -1.361 4.351
10.578 -1.361 2.871
5.324 1.306 1.430
6.788 1.735 4.701
10.496 1.735 2.521
13.227 1.306 0.977
4.690 -1.306 3.837
7.422 -1.735 2.293
11.130 -1.735 0.114
12.593 -1.306 3.384
```



(3)
# Ba3BiIrRuO9
Computed PXRD pattern, Cu Kα (λ = 1.5418 Å). Input: a structure optimized by DFT (GGA-PBE).
Neutral-atom scattering factors, no anomalous dispersion.

The 6 most intense peaks (2θ from 10° to 90°), sorted by position:
2theta	I (rel.)
28.87	26
29.45	23
29.71	100
29.97	19
42.36	13
52.68	16

```
Ba3BiIrRuO9
1.0
3.015 -5.200 0.000
3.015 5.200 0.000
-0.669 0.000 14.937
Ba Bi Ir Ru O
6 2 2 2 18
Cartesian
2.681 5.129 7.469
2.849 1.715 2.313
2.489 1.729 12.596
2.514 -1.715 9.782
2.824 -1.729 5.127
3.015 -5.129 0.000
5.514 0.006 11.185
5.849 -0.006 3.716
2.504 1.727 8.728
2.839 -1.727 1.260
2.850 1.729 6.197
2.515 -1.729 13.665
1.306 2.505 7.255
0.885 0.985 9.671
2.305 3.400 9.821
3.046 3.404 5.174
1.688 0.948 4.824
1.219 -0.985 2.203
1.354 -0.948 12.292
2.680 0.113 7.459
4.061 2.494 7.671
0.972 -2.505 14.724
2.346 -0.113 14.927
3.666 0.959 10.174
4.453 0.994 5.303
4.001 -0.959 2.705
2.640 -3.400 2.353
2.711 -3.404 12.642
4.118 -0.994 12.772
4.395 -2.494 0.202
```



(4)
# CoMo
Computed PXRD pattern, Cu Kα (λ = 1.5418 Å). Input: a structure optimized by DFT (GGA-PBE).
Neutral-atom scattering factors, no anomalous dispersion.

The 6 most intense peaks (2θ from 10° to 90°), sorted by position:
2theta	I (rel.)
37.66	85
41.34	59
43.37	100
43.91	35
44.52	54
47.37	36

```
CoMo
1.0
2.389 1.379 17.141
-2.389 1.379 17.141
0.000 -2.758 17.141
Co Mo
13 13
Cartesian
0.000 0.000 0.000
-1.217 -0.703 27.744
0.000 -1.375 19.109
-1.191 0.688 19.109
0.000 -1.405 23.678
-1.217 0.703 23.678
-1.191 -0.688 32.313
1.191 0.688 19.109
1.217 -0.703 27.744
0.000 1.405 27.744
1.191 -0.688 32.313
0.000 1.375 32.313
1.217 0.703 23.678
0.000 0.000 4.209
0.000 0.000 8.937
0.000 0.000 11.624
0.000 0.000 14.139
0.000 0.000 16.787
0.000 0.000 21.426
0.000 0.000 25.711
0.000 0.000 29.996
0.000 0.000 34.635
0.000 0.000 37.283
0.000 0.000 39.799
0.000 0.000 42.485
0.000 0.000 47.214
```



(5)
# Mg2Ti2O5
Computed PXRD pattern, Cu Kα (λ = 1.5418 Å). Input: a structure optimized by DFT (GGA-PBE).
Neutral-atom scattering factors, no anomalous dispersion.

The 6 most intense peaks (2θ from 10° to 90°), sorted by position:
2theta	I (rel.)
22.86	29
26.49	27
32.17	31
35.28	100
46.72	38
60.34	31

```
Mg2Ti2O5
1.0
-6.724 2.720 2.782
6.724 -2.720 2.782
6.724 2.720 -2.782
Mg Ti O
4 4 10
Cartesian
1.610 0.135 0.000
5.114 0.135 0.000
1.610 2.584 2.782
5.114 2.584 2.782
0.000 0.000 2.380
6.724 0.000 2.380
3.362 -0.204 2.897
3.362 2.924 0.115
10.086 0.694 -0.691
1.914 1.971 -0.779
4.810 1.971 -0.779
-0.520 1.331 0.877
7.245 1.331 0.877
1.914 0.749 2.003
4.810 0.749 2.003
-3.362 2.025 2.091
0.520 4.109 0.877
-0.520 1.389 3.660
```